Diffraction record for KCaEuWO6. The XRD peak list is computed, not measured: it uses a DFT-relaxed cell (GGA+U, the Materials Project) and CuKα.
No peak broadening, texture or thermal motion is included.

Main lines, sorted by position (2θ = 10–90°):
2θ/deg  intensity
21.02  31
21.20  60
30.02  100
30.15  48
42.79  15
43.16  29
48.50  21
53.23  21
53.47  43
62.40  17

Atomic structure:
```
KCaEuWO6
1.0
8.3788 0.0000 0.0000
0.0000 8.3875 0.0000
0.0000 0.0000 8.4540
K Ca Eu W O
4 4 4 4 24
Cartesian
2.0947 2.0969 2.1135 K
2.0947 6.2906 2.1135 K
6.2841 2.0969 6.3405 K
6.2841 6.2906 6.3405 K
2.0947 2.0969 6.3405 Ca
2.0947 6.2906 6.3405 Ca
6.2841 2.0969 2.1135 Ca
6.2841 6.2906 2.1135 Ca
0.0000 0.0000 0.0000 Eu
0.0000 4.1938 4.2270 Eu
4.1894 0.0000 4.2270 Eu
4.1894 4.1938 0.0000 Eu
0.0000 0.0000 4.2270 W
0.0000 4.1938 0.0000 W
4.1894 0.0000 0.0000 W
4.1894 4.1938 4.2270 W
0.1975 1.9217 3.9367 O
0.1975 2.2720 0.2904 O
0.4090 0.2735 6.1657 O
0.4090 3.9203 6.5154 O
1.9210 4.4710 0.1951 O
1.9210 8.1103 4.0319 O
2.2684 4.4710 4.0319 O
2.2684 8.1103 0.1951 O
3.7804 0.2735 6.5154 O
3.7804 3.9203 6.1657 O
3.9919 1.9217 0.2904 O
3.9919 2.2720 3.9367 O
4.3869 6.1155 4.5174 O
4.3869 6.4658 8.1637 O
4.5985 4.4672 2.2883 O
4.5985 8.1140 1.9387 O
6.1104 0.2772 8.2590 O
6.1104 3.9165 4.4221 O
6.4578 0.2772 4.4221 O
6.4578 3.9165 8.2590 O
7.9698 4.4672 1.9387 O
7.9698 8.1140 2.2883 O
8.1814 6.1155 8.1637 O
8.1814 6.4658 4.5174 O
```

Diffraction record for KCaEuWO6. The XRD peak list is computed, not measured: it uses a DFT-relaxed cell (GGA+U, the Materials Project) and CuKα.
No peak broadening, texture or thermal motion is included.

Main lines, sorted by position (2θ = 10–90°):
2θ/deg  intensity
21.04  64
29.93  100
42.84  32
48.20  29
53.14  40
62.19  20
66.43  14
70.54  18
82.35  6
86.19  21

Atomic structure:
```
KCaEuWO6
1.0
0.0000 4.2220 4.2220
4.2220 0.0000 4.2220
4.2220 4.2220 0.0000
K Ca Eu W O
1 1 1 1 6
Cartesian
0.0000 0.0000 0.0000 K
4.2220 4.2220 4.2220 Ca
6.3331 6.3331 6.3331 Eu
2.1110 2.1110 2.1110 W
2.1110 2.1110 0.1625 O
2.1110 0.1625 2.1110 O
4.0595 2.1110 2.1110 O
0.1625 2.1110 2.1110 O
2.1110 4.0595 2.1110 O
2.1110 2.1110 4.0595 O
```

Diffraction record for SrCaEuMnO6. The XRD peak list is computed, not measured: it uses a DFT-relaxed cell (GGA+U, the Materials Project) and CuKα.
No peak broadening, texture or thermal motion is included.

Main lines, sorted by position (2θ = 10–90°):
2θ/deg  intensity
18.85  11
21.80  13
31.02  100
38.23  23
44.44  35
50.02  8
55.18  38
64.66  21
73.44  17
77.68  7

Atomic structure:
```
SrCaEuMnO6
1.0
0.0000 4.0771 4.0771
4.0771 0.0000 4.0771
4.0771 4.0771 0.0000
Sr Ca Eu Mn O
1 1 1 1 6
Cartesian
0.0000 0.0000 0.0000 Sr
2.0386 2.0386 2.0386 Ca
4.0771 4.0771 4.0771 Eu
6.1157 6.1157 6.1157 Mn
6.1157 6.1157 4.2324 O
6.1157 4.2324 6.1157 O
7.9989 6.1157 6.1157 O
4.2324 6.1157 6.1157 O
6.1157 7.9989 6.1157 O
6.1157 6.1157 7.9989 O
```

Diffraction record for CaEuZrMnO6. The XRD peak list is computed, not measured: it uses a DFT-relaxed cell (GGA+U, the Materials Project) and CuKα.
No peak broadening, texture or thermal motion is included.

Main lines, sorted by position (2θ = 10–90°):
2θ/deg  intensity
19.25  29
31.69  100
37.35  18
39.08  8
45.43  35
49.77  9
56.45  38
66.20  20
75.26  16
83.96  7

Atomic structure:
```
CaEuZrMnO6
1.0
0.0000 3.9927 3.9927
3.9927 0.0000 3.9927
3.9927 3.9927 0.0000
Ca Eu Zr Mn O
1 1 1 1 6
Cartesian
0.0000 0.0000 0.0000 Ca
3.9927 3.9927 3.9927 Eu
1.9963 1.9963 1.9963 Zr
5.9890 5.9890 5.9890 Mn
5.9890 5.9890 4.0666 O
5.9890 4.0666 5.9890 O
7.9114 5.9890 5.9890 O
4.0666 5.9890 5.9890 O
5.9890 7.9114 5.9890 O
5.9890 5.9890 7.9114 O
```